Entry 1:
Zn2Cu3Pt4: calculated X-ray powder pattern (Cu Kα), based on a cell relaxed with GGA-PBE.
No peak broadening, texture or thermal motion is included.

Peak list (6 most intense, 10° ≤ 2θ ≤ 90°, sorted by position)
| 2theta | d_spacing | intensity |
| --- | --- | --- |
| 29.02 | 3.077 | 26.2 |
| 40.62 | 2.221 | 100.0 |
| 40.91 | 2.206 | 96.3 |
| 46.37 | 1.958 | 67.8 |
| 49.51 | 1.841 | 27.6 |
| 67.68 | 1.384 | 23.9 |

Cell and atoms:
```
Zn2Cu3Pt4
1.0
4.153 -1.959 0.000
4.153 1.959 0.000
-2.156 0.000 7.810
Zn Cu Pt
2 3 4
Cartesian
0.950 0.000 1.743
5.200 0.000 6.067
0.150 0.000 4.305
4.153 0.000 0.000
6.000 0.000 3.505
-0.548 0.000 6.926
2.629 0.000 5.186
3.521 0.000 2.624
6.697 0.000 0.884
```

***

Entry 2:
ZnCu3Pt3: calculated X-ray powder pattern (Cu Kα), based on a cell relaxed with GGA-PBE.
No peak broadening, texture or thermal motion is included.

Peak list (6 most intense, 10° ≤ 2θ ≤ 90°, sorted by position)
| 2theta | d_spacing | intensity |
| --- | --- | --- |
| 14.76 | 6.001 | 22.5 |
| 29.77 | 3.001 | 18.6 |
| 33.39 | 2.684 | 16.0 |
| 42.61 | 2.122 | 51.6 |
| 43.55 | 2.078 | 100.0 |
| 64.69 | 1.441 | 16.0 |

Cell and atoms:
```
ZnCu3Pt3
1.0
4.240 -4.247 0.000
4.240 4.247 0.000
0.000 0.000 5.762
Zn Cu Pt
2 6 6
Cartesian
1.946 0.000 0.000
6.534 0.000 0.000
1.843 0.000 2.881
4.240 2.347 2.881
4.240 2.295 0.000
4.240 -2.295 0.000
4.240 -2.347 2.881
6.637 0.000 2.881
2.120 2.124 1.451
2.120 2.124 4.312
2.120 -2.124 1.451
2.120 -2.124 4.312
4.240 0.000 1.466
4.240 0.000 4.296
```

***

Entry 3:
ZnCu3Pt: calculated X-ray powder pattern (Cu Kα), based on a cell relaxed with GGA-PBE.
No peak broadening, texture or thermal motion is included.

Peak list (6 most intense, 10° ≤ 2θ ≤ 90°, sorted by position)
| 2theta | d_spacing | intensity |
| --- | --- | --- |
| 28.12 | 3.173 | 38.1 |
| 41.60 | 2.171 | 100.0 |
| 41.83 | 2.160 | 98.4 |
| 48.23 | 1.887 | 32.0 |
| 48.45 | 1.879 | 34.4 |
| 48.98 | 1.860 | 30.8 |

Cell and atoms:
```
ZnCu3Pt
1.0
4.158 -1.879 0.000
4.158 1.879 0.000
-0.059 0.000 8.440
Zn Cu Pt
2 6 2
Cartesian
0.399 0.000 1.295
7.859 0.000 7.144
1.200 0.000 3.831
2.933 0.000 0.434
3.695 0.000 3.020
4.563 0.000 5.420
5.325 0.000 8.006
7.058 0.000 4.609
2.064 0.000 6.325
6.194 0.000 2.115
```